(1)
Simulated powder diffraction line list
Compound: K2C
Radiation: Cu Kα, 1.54184 Å
Structure: the GGA-PBE geometry in Alexandria
Intensities are scaled so that the largest is 100.

The 8 most intense peaks (15° ≤ 2θ ≤ 90°), most intense first:
2θ (°)	I/Imax
27.2	100
35.7	25
41.7	24
47.0	19
26.3	17
50.0	16
50.5	15
23.7	12

Structural model:
```
data_K2C
_chemical_formula_sum 'K6 C3'
_symmetry_space_group_name_H-M 'P -3 1 m'
_symmetry_Int_Tables_number 162
_symmetry_space_group_name_Hall '-P 3 2'
_cell_length_a 7.5054
_cell_length_b 7.5054
_cell_length_c 6.7764
_cell_angle_alpha 90.00
_cell_angle_beta 90.00
_cell_angle_gamma 120.00
loop_
_atom_site_label
_atom_site_type_symbol
_atom_site_fract_x
_atom_site_fract_y
_atom_site_fract_z
_atom_site_occupancy
K1 K 0.0000 0.3332 0.2626 1
C1 C 0.0000 0.0000 0.0000 1
C2 C 0.3333 0.6667 0.5000 1
```

(2)
Simulated powder diffraction line list
Compound: Rb3Br7
Radiation: Cu Kα, 1.54184 Å
Structure: the GGA-PBE geometry in Alexandria
Intensities are scaled so that the largest is 100.

The 8 most intense peaks (15° ≤ 2θ ≤ 90°), most intense first:
2θ (°)	I/Imax
25.4	100
31.2	79
40.8	71
25.7	70
52.2	31
20.1	27
44.6	25
15.4	21

Structural model:
```
data_Rb3Br7
_chemical_formula_sum 'Rb6 Br14'
_symmetry_space_group_name_H-M 'I 4/m m m'
_symmetry_Int_Tables_number 139
_symmetry_space_group_name_Hall '-I 4 2'
_cell_length_a 8.1208
_cell_length_b 8.1208
_cell_length_c 13.8887
_cell_angle_alpha 90.00
_cell_angle_beta 90.00
_cell_angle_gamma 90.00
loop_
_atom_site_label
_atom_site_type_symbol
_atom_site_fract_x
_atom_site_fract_y
_atom_site_fract_z
_atom_site_occupancy
Rb1 Rb 0.0000 0.0000 0.0000 1
Rb2 Rb 0.0000 0.5000 0.2500 1
Br1 Br 0.0000 0.0000 0.2345 1
Br2 Br 0.0000 0.0000 0.5000 1
Br3 Br 0.2211 0.2211 0.5000 1
```